No. 1
# TbNd2Hg
Theoretical powder diffraction line list, Cu Ka. Input: a structure optimized by DFT (GGA-PBE).
Lines closer than 0.1° are merged.

Peak list (10 most intense, 2θ = 5–70°, by intensity)
d (Å)  I (rel.)
2.858  100
2.619  42
1.554  32
1.705  18
1.852  15
8.986  11
2.246  10
1.429  10
2.329  7
1.388  6

Structural model:
```
TbNd2Hg
1.0
5.237 0.000 0.000
0.000 5.237 0.000
0.000 0.000 8.986
Tb Nd Hg
2 4 2
direct
0.250 0.250 0.216 Tb
0.750 0.750 0.784 Tb
0.250 0.250 0.779 Nd
0.250 0.750 0.500 Nd
0.750 0.250 0.500 Nd
0.750 0.750 0.221 Nd
0.250 0.750 0.000 Hg
0.750 0.250 0.000 Hg
```


No. 2
# LaReO6
Theoretical powder diffraction line list, Cu Ka. Input: a structure optimized by DFT (GGA-PBE).
Lines closer than 0.1° are merged.

Peak list (10 most intense, 2θ = 5–70°, by intensity)
d (Å)  I (rel.)
4.291  100
3.034  55
1.919  42
1.752  22
2.145  20
1.430  19
2.477  13
1.517  12
1.357  11
4.955  6

Structural model:
```
LaReO6
1.0
0.000 4.291 4.291
4.291 0.000 4.291
4.291 4.291 0.000
La Re O
1 1 6
direct
0.000 0.000 0.000 La
0.500 0.500 0.500 Re
0.281 0.281 0.719 O
0.281 0.719 0.281 O
0.281 0.719 0.719 O
0.719 0.281 0.281 O
0.719 0.281 0.719 O
0.719 0.719 0.281 O
```


No. 3
# LaHoCCl
Theoretical powder diffraction line list, Cu Ka. Input: a structure optimized by DFT (GGA-PBE).
Lines closer than 0.1° are merged.

Peak list (10 most intense, 2θ = 5–70°, by intensity)
d (Å)  I (rel.)
2.573  100
2.754  71
3.162  69
1.845  39
7.230  31
1.795  28
1.465  27
2.410  21
3.615  21
1.500  18

Structural model:
```
LaHoCCl
1.0
3.691 0.000 0.000
-1.845 3.196 0.000
0.000 0.000 21.690
La Ho C Cl
3 3 3 3
direct
0.000 0.000 0.000 La
0.333 0.667 0.667 La
0.667 0.333 0.333 La
0.000 0.000 0.793 Ho
0.333 0.667 0.459 Ho
0.667 0.333 0.126 Ho
0.000 0.000 0.403 C
0.333 0.667 0.070 C
0.667 0.333 0.737 C
0.000 0.000 0.219 Cl
0.333 0.667 0.886 Cl
0.667 0.333 0.552 Cl
```


No. 4
# LiTcRu
Theoretical powder diffraction line list, Cu Ka. Input: a structure optimized by DFT (GGA-PBE).
Lines closer than 0.1° are merged.

Peak list (10 most intense, 2θ = 5–70°, by intensity)
d (Å)  I (rel.)
6.848  100
2.120  78
2.283  24
2.239  23
2.358  21
1.803  16
1.598  15
2.128  10
3.424  10
1.417  5

Structural model:
```
LiTcRu
1.0
2.833 0.000 0.000
0.000 4.478 0.000
0.000 0.000 13.696
Li Tc Ru
4 4 4
direct
0.000 0.000 0.000 Li
0.000 0.500 0.500 Li
0.500 0.000 0.500 Li
0.500 0.500 0.000 Li
0.000 0.000 0.674 Tc
0.000 0.500 0.174 Tc
0.500 0.000 0.174 Tc
0.500 0.500 0.674 Tc
0.000 0.000 0.332 Ru
0.000 0.500 0.832 Ru
0.500 0.000 0.832 Ru
0.500 0.500 0.332 Ru
```


No. 5
# Sm2NiHg3
Theoretical powder diffraction line list, Cu Ka. Input: a structure optimized by DFT (GGA-PBE).
Lines closer than 0.1° are merged.

Peak list (10 most intense, 2θ = 5–70°, by intensity)
d (Å)  I (rel.)
2.708  100
2.417  67
2.723  41
2.386  39
1.437  27
1.794  24
2.002  17
3.155  17
1.786  16
3.572  16

Structural model:
```
Sm2NiHg3
1.0
3.572 0.000 0.000
0.000 4.772 0.000
0.000 0.000 8.412
Sm Ni Hg
2 1 3
direct
0.000 0.000 0.000 Sm
0.000 0.500 0.436 Sm
0.500 0.000 0.279 Ni
0.500 0.000 0.598 Hg
0.500 0.500 0.135 Hg
0.500 0.500 0.790 Hg
```


No. 6
# V6SiW
Theoretical powder diffraction line list, Cu Ka. Input: a structure optimized by DFT (GGA-PBE).
Lines closer than 0.1° are merged.

Peak list (10 most intense, 2θ = 5–70°, by intensity)
d (Å)  I (rel.)
1.954  100
2.140  87
4.786  62
2.393  46
3.384  28
2.763  23
1.595  17
1.443  9
1.513  6
1.692  4

Structural model:
```
V6SiW
1.0
4.786 0.000 0.000
0.000 4.786 0.000
0.000 0.000 4.786
V Si W
6 1 1
direct
0.000 0.252 0.500 V
0.000 0.748 0.500 V
0.252 0.500 0.000 V
0.500 0.000 0.252 V
0.500 0.000 0.748 V
0.748 0.500 0.000 V
0.500 0.500 0.500 Si
0.000 0.000 0.000 W
```


No. 7
# Th2Sc3Sn2
Theoretical powder diffraction line list, Cu Ka. Input: a structure optimized by DFT (GGA-PBE).
Lines closer than 0.1° are merged.

Peak list (10 most intense, 2θ = 5–70°, by intensity)
d (Å)  I (rel.)
2.753  100
2.971  98
3.828  66
2.888  61
3.940  59
2.722  49
2.654  49
2.113  42
1.967  39
2.821  33

Structural model:
```
Th2Sc3Sn2
1.0
11.903 0.000 0.000
0.000 4.227 0.000
-3.384 0.000 7.655
Th Sc Sn
4 6 4
direct
0.139 0.000 0.301 Th
0.361 0.500 0.699 Th
0.639 0.500 0.301 Th
0.861 0.000 0.699 Th
0.000 0.500 0.500 Sc
0.116 0.500 0.945 Sc
0.384 0.000 0.055 Sc
0.500 0.000 0.500 Sc
0.616 0.000 0.945 Sc
0.884 0.500 0.055 Sc
0.158 0.000 0.724 Sn
0.342 0.500 0.276 Sn
0.658 0.500 0.724 Sn
0.842 0.000 0.276 Sn
```


No. 8
# PmAlRe
Theoretical powder diffraction line list, Cu Ka. Input: a structure optimized by DFT (GGA-PBE).
Lines closer than 0.1° are merged.

Peak list (10 most intense, 2θ = 5–70°, by intensity)
d (Å)  I (rel.)
2.316  100
2.337  58
2.880  53
2.743  43
2.304  32
1.371  30
1.530  28
2.197  27
2.409  26
4.606  26

Structural model:
```
PmAlRe
1.0
5.360 0.000 0.000
0.000 5.761 0.000
0.000 0.000 7.671
Pm Al Re
4 4 4
direct
0.000 0.250 0.118 Pm
0.000 0.750 0.882 Pm
0.500 0.250 0.382 Pm
0.500 0.750 0.618 Pm
0.000 0.000 0.500 Al
0.000 0.500 0.500 Al
0.500 0.000 0.000 Al
0.500 0.500 0.000 Al
0.250 0.250 0.750 Re
0.250 0.750 0.250 Re
0.750 0.250 0.750 Re
0.750 0.750 0.250 Re
```


No. 9
# Ce2YIn2Hg2
Theoretical powder diffraction line list, Cu Ka. Input: a structure optimized by DFT (GGA-PBE).
Lines closer than 0.1° are merged.

Peak list (10 most intense, 2θ = 5–70°, by intensity)
d (Å)  I (rel.)
2.854  100
2.408  71
1.840  28
1.462  26
1.772  17
1.390  12
4.567  9
1.427  8
2.130  8
1.657  7

Structural model:
```
Ce2YIn2Hg2
1.0
2.408 1.390 9.134
-2.408 1.390 9.134
0.000 -2.780 9.134
Ce Y In Hg
2 1 2 2
direct
0.143 0.143 0.143 Ce
0.857 0.857 0.857 Ce
0.000 0.000 0.000 Y
0.272 0.272 0.272 In
0.728 0.728 0.728 In
0.421 0.421 0.421 Hg
0.579 0.579 0.579 Hg
```


No. 10
# Li3Ni2Sn3
Theoretical powder diffraction line list, Cu Ka. Input: a structure optimized by DFT (GGA-PBE).
Lines closer than 0.1° are merged.

Peak list (10 most intense, 2θ = 5–70°, by intensity)
d (Å)  I (rel.)
2.239  100
2.258  91
3.180  49
3.661  38
1.590  31
3.820  28
2.922  24
1.658  21
7.407  16
3.704  13

Structural model:
```
Li3Ni2Sn3
1.0
2.239 1.292 7.407
-2.239 1.292 7.407
0.000 -2.585 7.407
Li Ni Sn
3 2 3
direct
0.000 0.000 0.000 Li
0.122 0.122 0.122 Li
0.499 0.499 0.499 Li
0.250 0.250 0.250 Ni
0.740 0.740 0.740 Ni
0.381 0.381 0.381 Sn
0.621 0.621 0.621 Sn
0.863 0.863 0.863 Sn
```


No. 11
# Y2Be2CdPd5
Theoretical powder diffraction line list, Cu Ka. Input: a structure optimized by DFT (GGA-PBE).
Lines closer than 0.1° are merged.

Peak list (10 most intense, 2θ = 5–70°, by intensity)
d (Å)  I (rel.)
2.312  100
2.731  63
2.356  62
2.456  42
2.172  38
2.138  32
1.408  29
1.756  24
1.470  19
1.393  19

Structural model:
```
Y2Be2CdPd5
1.0
9.714 0.000 0.000
0.000 9.714 0.000
0.000 0.000 3.512
Y Be Cd Pd
4 4 2 10
direct
0.178 0.322 0.000 Y
0.322 0.822 0.000 Y
0.678 0.178 0.000 Y
0.822 0.678 0.000 Y
0.117 0.617 0.000 Be
0.383 0.117 0.000 Be
0.617 0.883 0.000 Be
0.883 0.383 0.000 Be
0.000 0.000 0.000 Cd
0.500 0.500 0.000 Cd
0.000 0.500 0.500 Pd
0.069 0.780 0.500 Pd
0.220 0.069 0.500 Pd
0.280 0.569 0.500 Pd
0.431 0.280 0.500 Pd
0.500 0.000 0.500 Pd
0.569 0.720 0.500 Pd
0.720 0.431 0.500 Pd
0.780 0.931 0.500 Pd
0.931 0.220 0.500 Pd
```


No. 12
# PrCuAg2S4
Theoretical powder diffraction line list, Cu Ka. Input: a structure optimized by DFT (GGA-PBE).
Lines closer than 0.1° are merged.

Peak list (10 most intense, 2θ = 5–70°, by intensity)
d (Å)  I (rel.)
2.879  100
3.246  90
2.672  63
2.083  57
3.519  49
3.328  46
1.904  44
1.985  39
3.109  30
1.951  30

Structural model:
```
PrCuAg2S4
1.0
1.985 -6.657 0.000
1.985 6.657 0.000
0.000 0.000 12.437
Pr Cu Ag S
2 2 4 8
direct
0.086 0.914 0.750 Pr
0.914 0.086 0.250 Pr
0.174 0.826 0.250 Cu
0.826 0.174 0.750 Cu
0.376 0.624 0.554 Ag
0.376 0.624 0.946 Ag
0.624 0.376 0.054 Ag
0.624 0.376 0.446 Ag
0.000 0.000 0.000 S
0.000 0.000 0.500 S
0.306 0.694 0.129 S
0.306 0.694 0.371 S
0.422 0.578 0.750 S
0.578 0.422 0.250 S
0.694 0.306 0.629 S
0.694 0.306 0.871 S
```


No. 13
# Th3SbAu
Theoretical powder diffraction line list, Cu Ka. Input: a structure optimized by DFT (GGA-PBE).
Lines closer than 0.1° are merged.

Peak list (10 most intense, 2θ = 5–70°, by intensity)
d (Å)  I (rel.)
2.850  100
3.136  84
2.572  82
2.447  71
3.087  71
1.857  59
2.888  43
1.526  38
4.894  36
4.494  36

Structural model:
```
Th3SbAu
1.0
3.978 -8.170 0.000
3.978 8.170 0.000
0.000 0.000 4.894
Th Sb Au
6 2 2
direct
0.000 0.500 0.500 Th
0.173 0.827 0.000 Th
0.321 0.321 0.500 Th
0.500 0.000 0.500 Th
0.679 0.679 0.500 Th
0.827 0.173 0.000 Th
0.372 0.628 0.000 Sb
0.628 0.372 0.000 Sb
0.085 0.915 0.500 Au
0.915 0.085 0.500 Au
```


No. 14
# Ce2NpGa6
Theoretical powder diffraction line list, Cu Ka. Input: a structure optimized by DFT (GGA-PBE).
Lines closer than 0.1° are merged.

Peak list (10 most intense, 2θ = 5–70°, by intensity)
d (Å)  I (rel.)
2.630  100
2.258  55
1.713  28
1.365  26
1.396  23
3.911  21
1.777  9
6.773  7
1.618  4
1.955  3

Structural model:
```
Ce2NpGa6
1.0
7.821 0.000 0.000
-3.911 6.773 0.000
0.000 0.000 3.554
Ce Np Ga
2 1 6
direct
0.333 0.667 0.000 Ce
0.667 0.333 0.000 Ce
0.000 0.000 0.000 Np
0.000 0.332 0.500 Ga
0.000 0.668 0.500 Ga
0.332 0.000 0.500 Ga
0.332 0.332 0.500 Ga
0.668 0.000 0.500 Ga
0.668 0.668 0.500 Ga
```


No. 15
# ScOsBr2
Theoretical powder diffraction line list, Cu Ka. Input: a structure optimized by DFT (GGA-PBE).
Lines closer than 0.1° are merged.

Peak list (10 most intense, 2θ = 5–70°, by intensity)
d (Å)  I (rel.)
7.455  100
2.594  47
3.654  47
3.276  45
2.310  31
2.007  30
2.485  20
1.682  16
2.880  15
1.799  13

Structural model:
```
ScOsBr2
1.0
14.924 0.000 0.000
0.000 3.358 0.000
-0.192 0.000 4.299
Sc Os Br
2 2 4
direct
0.000 0.000 0.000 Sc
0.500 0.500 0.000 Sc
0.000 0.500 0.500 Os
0.500 0.000 0.500 Os
0.142 0.500 0.224 Br
0.358 0.000 0.776 Br
0.642 0.000 0.224 Br
0.858 0.500 0.776 Br
```